The following is a simulated powder diffractogram of BePdW. It was derived from a crystal structure in Alexandria, relaxed with PBE, using CuKα.

Structure:
Lattice parameters (Å, degrees): 15.1017 3.8906 2.7795 90.00 97.55 90.00
Element x y z (fractional)
Be (0.0000, 0.0000, 0.0000)
Be (0.1190, 0.0000, 0.5816)
Be (0.5000, 0.5000, 0.0000)
Be (0.6190, 0.5000, 0.5816)
Pd (0.1030, 0.5000, 0.0737)
Pd (0.2436, 0.0000, 0.1721)
Pd (0.6030, 0.0000, 0.0737)
Pd (0.7436, 0.5000, 0.1721)
W (0.3370, 0.5000, 0.7261)
W (0.4367, 0.0000, 0.4607)
W (0.8370, 0.0000, 0.7261)
W (0.9367, 0.5000, 0.4607)

Largest 10 diffraction maxima, in order of rising 2θ, 2θ = 10–80°:
2θ 11.8, d = 7.485 Å, intensity 772, (2 0 0)
2θ 23.6, d = 3.766 Å, intensity 255, (1 1 0)
2θ 29.1, d = 3.068 Å, intensity 347, (3 1 0)
2θ 36.2, d = 2.482 Å, intensity 330, (2 0 1)
2θ 37.9, d = 2.373 Å, intensity 1000, (5 1 0)
2θ 39.9, d = 2.260 Å, intensity 325, (1 1 -1)
2θ 41.2, d = 2.189 Å, intensity 209, (1 1 1)
2θ 42.3, d = 2.138 Å, intensity 579, (3 1 -1)
2θ 46.7, d = 1.945 Å, intensity 332, (0 2 0)
2θ 48.6, d = 1.873 Å, intensity 227, (8 0 0)